Structure and simulated powder X-ray diffraction pattern of UC (a crystal structure in the Materials Project, relaxed with PBE; Cu Kα (weighted mean of Kα1 and Kα2)).

The 8 most intense peaks (2θ from 10° to 90°), in order of rising 2θ:
- d = 2.850 Å, intensity 100, hkl 1 1 1
- d = 2.469 Å, intensity 62, hkl 2 0 0
- d = 1.746 Å, intensity 44, hkl 2 2 0
- d = 1.489 Å, intensity 46, hkl 3 1 1
- d = 1.425 Å, intensity 15, hkl 2 2 2
- d = 1.234 Å, intensity 7, hkl 4 0 0
- d = 1.133 Å, intensity 21, hkl 3 3 1
- d = 1.104 Å, intensity 22, hkl 4 2 0

Atomic structure:
```
data_UC
_space_group_name_H-M_alt 'F m -3 m'
_space_group_IT_number 225
_space_group_name_Hall '-F 4 2 3'
_cell_length_a 4.9372
_cell_length_b 4.9372
_cell_length_c 4.9372
_cell_angle_alpha 90.00
_cell_angle_beta 90.00
_cell_angle_gamma 90.00
loop_
_atom_site_label
_atom_site_type_symbol
_atom_site_fract_x
_atom_site_fract_y
_atom_site_fract_z
_atom_site_occupancy
U1 U 0.0000 0.0000 0.0000 1
C1 C 0.0000 0.0000 0.5000 1
```